# 1
ZrCd: simulated powder X-ray diffraction pattern (Cu Kα (λ = 1.5418 Å)), based on a crystal structure in the Materials Project, relaxed with GGA-PBE.
Neutral-atom scattering factors, no anomalous dispersion.

Unit cell a=3.106 b=3.106 c=9.290 alpha=90.00 beta=90.00 gamma=90.00
Fractional coordinates of all 4 atoms:
Zr 0.250 0.250 0.123
Zr 0.750 0.750 0.877
Cd 0.250 0.250 0.622
Cd 0.750 0.750 0.378

Peak list (8 most intense, 10° ≤ 2θ ≤ 90°, sorted by position)
2theta, intensity
34.7, 100
38.8, 18
41.1, 31
57.8, 22
59.5, 10
67.6, 13
70.8, 23
73.3, 10

# 2
ZrCd: simulated powder X-ray diffraction pattern (Cu Kα (λ = 1.5418 Å)), based on a crystal structure in the Materials Project, relaxed with GGA-PBE.
Neutral-atom scattering factors, no anomalous dispersion.

Unit cell a=2.924 b=2.924 c=12.016 alpha=90.00 beta=90.00 gamma=90.00
Fractional coordinates of all 4 atoms:
Zr 0.000 0.000 0.124
Zr 0.000 0.000 0.876
Cd 0.000 0.000 0.376
Cd 0.000 0.000 0.624

Peak list (8 most intense, 10° ≤ 2θ ≤ 90°, sorted by position)
2theta, intensity
29.7, 54
30.6, 100
43.2, 76
43.8, 36
53.8, 39
70.5, 17
71.8, 16
80.0, 23

# 3
ZrCd3: simulated powder X-ray diffraction pattern (Cu Kα (λ = 1.5418 Å)), based on a crystal structure in the Materials Project, relaxed with GGA-PBE.
Neutral-atom scattering factors, no anomalous dispersion.

Unit cell a=4.432 b=4.432 c=4.432 alpha=90.00 beta=90.00 gamma=90.00
Fractional coordinates of all 4 atoms:
Zr 0.000 0.000 0.000
Cd 0.000 0.500 0.500
Cd 0.500 0.000 0.500
Cd 0.500 0.500 0.000

Peak list (8 most intense, 10° ≤ 2θ ≤ 90°, sorted by position)
2theta, intensity
20.0, 1
28.5, 1
35.1, 100
40.7, 49
58.9, 32
70.5, 36
74.1, 10
88.2, 5

# 4
Ce: simulated powder X-ray diffraction pattern (Cu Kα (λ = 1.5418 Å)), based on a crystal structure in the Materials Project, relaxed with GGA-PBE.
Neutral-atom scattering factors, no anomalous dispersion.

Unit cell a=3.270 b=3.270 c=3.270 alpha=109.47 beta=109.47 gamma=109.47
Fractional coordinates of all 1 atoms:
Ce 0.000 0.000 0.000

Peak list (5 most intense, 10° ≤ 2θ ≤ 90°, sorted by position)
2theta, intensity
33.6, 100
48.2, 18
60.0, 37
70.5, 11
80.4, 16